CsPbCl3: theoretical powder X-ray diffraction pattern (copper Kα), based on a GGA-PBE-relaxed structure.

Structure:
Cell: 8.066 8.066 10.029 Å, 90.00 90.00 120.00°
Element x y z (fractional)
Cs1 0.000 0.000 0.000
Cs2 0.333 0.667 0.667
Cs3 0.667 0.333 0.333
Pb1 0.000 0.000 0.500
Pb2 0.333 0.667 0.167
Pb3 0.667 0.333 0.833
Cl1 0.000 0.533 0.000
Cl2 0.134 0.800 0.333
Cl3 0.200 0.333 0.333
Cl4 0.333 0.200 0.667
Cl5 0.467 0.467 0.000
Cl6 0.533 0.000 0.000
Cl7 0.667 0.866 0.333
Cl8 0.800 0.134 0.667
Cl9 0.866 0.667 0.667

Main lines, most intense first (2θ = 15–90°):
| 2θ (°) | Rel. int. |
| --- | --- |
| 21.8 | 100 |
| 22.0 | 97 |
| 31.2 | 89 |
| 38.5 | 49 |
| 44.5 | 33 |
| 45.0 | 30 |

***

Tb3Ag4Sn4: theoretical powder X-ray diffraction pattern (copper Kα), based on a GGA-PBE-relaxed structure.

Structure:
Cell: 8.813 8.813 8.813 Å, 149.54 130.58 59.17°
Element x y z (fractional)
Tb1 0.000 0.000 0.000
Tb2 0.372 0.872 0.500
Tb3 0.628 0.128 0.500
Ag1 0.026 0.329 0.697
Ag2 0.369 0.671 0.697
Ag3 0.631 0.329 0.303
Ag4 0.974 0.671 0.303
Sn1 0.214 0.214 0.000
Sn2 0.304 0.500 0.804
Sn3 0.696 0.500 0.196
Sn4 0.786 0.786 0.000

Main lines, most intense first (2θ = 15–90°):
| 2θ (°) | Rel. int. |
| --- | --- |
| 31.6 | 100 |
| 32.7 | 67 |
| 38.9 | 36 |
| 43.1 | 27 |
| 35.1 | 22 |
| 40.8 | 22 |

***

K2MgCu2O4: theoretical powder X-ray diffraction pattern (copper Kα), based on a GGA-PBE-relaxed structure.

Structure:
Cell: 6.438 6.438 7.015 Å, 98.88 98.88 29.35°
Element x y z (fractional)
K1 0.236 0.236 0.247
K2 0.764 0.764 0.753
Mg1 0.000 0.000 0.500
Cu1 0.492 0.492 0.824
Cu2 0.508 0.508 0.176
O1 0.386 0.386 0.000
O2 0.407 0.407 0.578
O3 0.593 0.593 0.422
O4 0.614 0.614 0.000

Main lines, most intense first (2θ = 15–90°):
| 2θ (°) | Rel. int. |
| --- | --- |
| 28.3 | 100 |
| 31.7 | 72 |
| 36.3 | 69 |
| 29.0 | 60 |
| 49.9 | 37 |
| 41.8 | 32 |

***

ZnTe2O7: theoretical powder X-ray diffraction pattern (copper Kα), based on a GGA-PBE-relaxed structure.

Structure:
Cell: 6.471 7.820 7.639 Å, 90.00 109.42 90.00°
Element x y z (fractional)
Zn1 0.076 0.000 0.172
Zn2 0.924 0.500 0.828
Te1 0.063 0.565 0.303
Te2 0.395 0.482 0.755
Te3 0.605 0.982 0.245
Te4 0.937 0.065 0.697
O1 0.048 0.437 0.097
O2 0.159 0.614 0.762
O3 0.170 0.064 0.619
O4 0.189 0.775 0.291
O5 0.300 0.437 0.485
O6 0.362 0.115 0.222
O7 0.432 0.296 0.900
O8 0.568 0.796 0.100
O9 0.638 0.615 0.778
O10 0.700 0.937 0.515
O11 0.811 0.275 0.709
O12 0.830 0.564 0.381
O13 0.841 0.114 0.238
O14 0.952 0.937 0.903

Main lines, most intense first (2θ = 15–90°):
| 2θ (°) | Rel. int. |
| --- | --- |
| 19.3 | 100 |
| 24.7 | 87 |
| 22.7 | 83 |
| 16.7 | 47 |
| 27.7 | 43 |
| 33.8 | 34 |

***

Ti2AsP: theoretical powder X-ray diffraction pattern (copper Kα), based on a GGA-PBE-relaxed structure.

Structure:
Cell: 3.572 3.572 11.996 Å, 90.00 90.00 120.00°
Element x y z (fractional)
Ti1 0.333 0.667 0.123
Ti2 0.333 0.667 0.377
Ti3 0.667 0.333 0.623
Ti4 0.667 0.333 0.877
As1 0.000 0.000 0.000
As2 0.000 0.000 0.500
P1 0.333 0.667 0.750
P2 0.667 0.333 0.250

Main lines, most intense first (2θ = 15–90°):
| 2θ (°) | Rel. int. |
| --- | --- |
| 32.6 | 100 |
| 42.0 | 70 |
| 51.1 | 64 |
| 36.7 | 64 |
| 84.3 | 42 |
| 61.9 | 29 |

***

NbS: theoretical powder X-ray diffraction pattern (copper Kα), based on a GGA-PBE-relaxed structure.

Structure:
Cell: 3.319 3.319 3.324 Å, 90.00 90.00 120.00°
Element x y z (fractional)
Nb1 0.000 0.000 0.000
S1 0.333 0.667 0.500

Main lines, most intense first (2θ = 15–90°):
| 2θ (°) | Rel. int. |
| --- | --- |
| 41.5 | 100 |
| 31.1 | 60 |
| 55.4 | 26 |
| 64.8 | 21 |
| 71.5 | 19 |
| 82.1 | 16 |